Entry 1:
Structure and calculated XRD peak list of ErTm3O (the PBE geometry in Alexandria; Cu Kα (weighted mean of Kα1 and Kα2)).
No peak broadening, texture or thermal motion is included.

Peak list (7 most intense, 2θ = 15–90°, in order of falling intensity)
(hkl), d_spacing, I/Imax
1 1 1, 2.805, 100
2 0 0, 2.429, 56
3 1 1, 1.465, 43
2 2 0, 1.718, 39
3 3 1, 1.115, 18
2 2 2, 1.402, 13
4 0 0, 1.215, 6

Crystal structure
```
data_ErTm3O
_symmetry_space_group_name_H-M 'P m -3 m'
_symmetry_Int_Tables_number 221
_symmetry_space_group_name_Hall '-P 4 2 3'
_cell_length_a 4.8583
_cell_length_b 4.8583
_cell_length_c 4.8583
_cell_angle_alpha 90.00
_cell_angle_beta 90.00
_cell_angle_gamma 90.00
loop_
_atom_site_label
_atom_site_type_symbol
_atom_site_fract_x
_atom_site_fract_y
_atom_site_fract_z
Er1 Er 0.0000 0.0000 0.0000
Tm1 Tm 0.0000 0.5000 0.5000
O1 O 0.5000 0.5000 0.5000
```

Entry 2:
Structure and calculated XRD peak list of ErTm2UO8 (the PBE geometry in Alexandria; Cu Kα (weighted mean of Kα1 and Kα2)).
No peak broadening, texture or thermal motion is included.

Peak list (10 most intense, 2θ = 15–90°, in order of falling intensity)
(hkl), d_spacing, I/Imax
1 1 0, 3.091, 100
0 1 2, 3.042, 96
1 2 2, 1.872, 65
1 0 2, 2.672, 45
2 1 2, 1.619, 31
1 1 4, 1.598, 29
0 2 0, 2.625, 22
1 3 4, 1.211, 18
2 0 0, 1.912, 18
0 0 4, 1.866, 16

Crystal structure
```
data_ErTm2UO8
_symmetry_space_group_name_H-M 'P m m m'
_symmetry_Int_Tables_number 47
_cell_length_a 3.8249
_cell_length_b 5.2498
_cell_length_c 7.4659
_cell_angle_alpha 90.00
_cell_angle_beta 90.00
_cell_angle_gamma 90.00
loop_
_symmetry_equiv_pos_as_xyz
'x,y,z'
'-x,-y,-z'
'-x,-y,z'
'x,y,-z'
'x,-y,-z'
'-x,y,z'
'-x,y,-z'
'x,-y,z'
loop_
_atom_site_label
_atom_site_type_symbol
_atom_site_fract_x
_atom_site_fract_y
_atom_site_fract_z
Er1 Er 0.0000 0.0000 0.0000
Tm1 Tm 0.5000 0.5000 0.2483
U1 U 0.0000 0.0000 0.5000
O1 O 0.0000 0.2439 0.2686
O2 O 0.5000 0.2362 0.5000
O3 O 0.5000 0.2519 0.0000
```

Entry 3:
Structure and calculated XRD peak list of Er2TmUO8 (the PBE geometry in Alexandria; Cu Kα (weighted mean of Kα1 and Kα2)).
No peak broadening, texture or thermal motion is included.

Peak list (10 most intense, 2θ = 15–90°, in order of falling intensity)
(hkl), d_spacing, I/Imax
1 1 0, 3.096, 100
0 1 2, 3.048, 96
1 2 2, 1.876, 65
1 0 2, 2.673, 45
2 1 2, 1.620, 31
1 1 4, 1.600, 29
0 2 0, 2.634, 22
2 0 0, 1.913, 17
0 0 4, 1.868, 16
1 3 0, 1.596, 15

Crystal structure
```
data_Er2TmUO8
_symmetry_space_group_name_H-M 'P m m m'
_symmetry_Int_Tables_number 47
_cell_length_a 3.8266
_cell_length_b 5.2684
_cell_length_c 7.4731
_cell_angle_alpha 90.00
_cell_angle_beta 90.00
_cell_angle_gamma 90.00
loop_
_symmetry_equiv_pos_as_xyz
'x,y,z'
'-x,-y,-z'
'-x,-y,z'
'x,y,-z'
'x,-y,-z'
'-x,y,z'
'-x,y,-z'
'x,-y,z'
loop_
_atom_site_label
_atom_site_type_symbol
_atom_site_fract_x
_atom_site_fract_y
_atom_site_fract_z
Er1 Er 0.0000 0.0000 0.2478
Tm1 Tm 0.5000 0.5000 0.0000
U1 U 0.5000 0.5000 0.5000
O1 O 0.0000 0.2514 0.0000
O2 O 0.0000 0.2650 0.5000
O3 O 0.5000 0.2578 0.2680
```

Entry 4:
Structure and calculated XRD peak list of Er2U3O11 (the PBE geometry in Alexandria; Cu Kα (weighted mean of Kα1 and Kα2)).
No peak broadening, texture or thermal motion is included.

Peak list (10 most intense, 2θ = 15–90°, in order of falling intensity)
(hkl), d_spacing, I/Imax
1 1 0, 3.096, 100
0 1 5, 3.074, 96
1 2 5, 1.895, 69
1 0 5, 2.656, 49
2 1 5, 1.609, 30
1 1 10, 1.600, 30
0 2 0, 2.705, 26
3 1 0, 1.227, 19
2 0 0, 1.888, 17
0 0 10, 1.868, 16

Crystal structure
```
data_Er2U3O11
_symmetry_space_group_name_H-M 'I m m m'
_symmetry_Int_Tables_number 71
_symmetry_space_group_name_Hall '-I 2 2'
_cell_length_a 3.7757
_cell_length_b 5.4106
_cell_length_c 18.6815
_cell_angle_alpha 90.00
_cell_angle_beta 90.00
_cell_angle_gamma 90.00
loop_
_atom_site_label
_atom_site_type_symbol
_atom_site_fract_x
_atom_site_fract_y
_atom_site_fract_z
Er1 Er 0.0000 0.0000 0.2030
U1 U 0.0000 0.0000 0.0000
U2 U 0.0000 0.0000 0.4009
O1 O 0.0000 0.2373 0.1017
O2 O 0.0000 0.2387 0.3063
O3 O 0.0000 0.2801 0.5000
O4 O 0.0000 0.5000 0.0000
```

Entry 5:
Structure and calculated XRD peak list of Y2ErUO8 (the PBE geometry in Alexandria; Cu Kα (weighted mean of Kα1 and Kα2)).
No peak broadening, texture or thermal motion is included.

Peak list (10 most intense, 2θ = 15–90°, in order of falling intensity)
(hkl), d_spacing, I/Imax
1 1 0, 3.123, 100
0 1 2, 3.073, 96
1 2 2, 1.894, 70
1 3 0, 1.612, 43
1 0 2, 2.692, 40
2 1 2, 1.633, 30
0 1 0, 5.329, 25
0 2 0, 2.665, 19
2 0 0, 1.927, 19
0 0 4, 1.881, 17

Crystal structure
```
data_Y2ErUO8
_symmetry_space_group_name_H-M 'P m m m'
_symmetry_Int_Tables_number 47
_cell_length_a 3.8544
_cell_length_b 5.3290
_cell_length_c 7.5221
_cell_angle_alpha 90.00
_cell_angle_beta 90.00
_cell_angle_gamma 90.00
loop_
_symmetry_equiv_pos_as_xyz
'x,y,z'
'-x,-y,-z'
'-x,-y,z'
'x,y,-z'
'x,-y,-z'
'-x,y,z'
'-x,y,-z'
'x,-y,z'
loop_
_atom_site_label
_atom_site_type_symbol
_atom_site_fract_x
_atom_site_fract_y
_atom_site_fract_z
Y1 Y 0.0000 0.0000 0.2487
Er1 Er 0.5000 0.5000 0.0000
U1 U 0.5000 0.5000 0.5000
O1 O 0.0000 0.2528 0.0000
O2 O 0.0000 0.2681 0.5000
O3 O 0.5000 0.2603 0.2699
```